Starting from a DFT-relaxed cell (PBE+U, Alexandria), the powder diffractogram of Li3Fe3OF7 was computed for Cu Kα X-rays.
Kinematic intensities with the Lorentz-polarization factor, no thermal factor.

Atomic structure:
Unit cell a=5.137 b=3.134 c=10.229 alpha=90.00 beta=90.20 gamma=90.00
Space group Pm (No. 6)
Inequivalent atoms, fractional coordinates:
Li  0.000  0.000  0.000
Li  0.098  0.000  0.316
Li  0.552  0.500  0.422
Fe  0.123  0.500  0.596
Fe  0.583  0.500  0.102
Fe  0.626  0.000  0.833
O  0.790  0.500  0.934
F  0.352  0.000  0.012
F  0.354  0.500  0.264
F  0.356  0.000  0.494
F  0.407  0.500  0.734
F  0.837  0.000  0.177
F  0.907  0.000  0.674
F  0.916  0.500  0.426

The 6 most intense peaks (2θ from 10° to 90°), by intensity:
- 4.590 Å, 2θ = 19.3°, rel. 100, hkl 1 0 1
- 1.852 Å, 2θ = 49.2°, rel. 48, hkl 2 1 2
- 2.588 Å, 2θ = 34.7°, rel. 40, hkl 1 1 -1
- 2.369 Å, 2θ = 38.0°, rel. 37, hkl 1 1 2
- 5.125 Å, 2θ = 17.3°, rel. 24, hkl 0 0 2
- 2.845 Å, 2θ = 31.4°, rel. 22, hkl 1 0 -3